Computed X-ray powder pattern of K3Np3Te8Au for λ = 1.5418 Å (Cu Kα), from the GGA-PBE geometry in Alexandria.
No peak broadening, texture or thermal motion is included.

Largest 12 diffraction maxima, by angle, 10° ≤ 2θ ≤ 90°:
d [Å]  two_theta  intensity  hkl
8.297  10.66  100  0 0 1
3.838  23.17  21  2 2 -1
3.278  27.20  88  2 2 -2
3.247  27.47  37  4 0 0
2.616  34.28  14  4 0 1
2.606  34.42  20  2 2 -3
2.450  36.69  28  2 2 2
2.357  38.19  16  4 0 -4
2.282  39.50  16  0 4 0
2.187  41.28  28  6 2 -2
1.970  46.07  14  2 2 3
1.867  48.78  14  4 4 0

Atomic structure:
```
data_K3Np3Te8Au
_chemical_formula_sum 'K6 Np6 Te16 Au2'
_cell_length_a 14.957
_cell_length_b 9.126
_cell_length_c 9.554
_cell_angle_alpha 90.00
_cell_angle_beta 119.72
_cell_angle_gamma 90.00
_symmetry_space_group_name_H-M 'C 1 2/m 1'
_symmetry_Int_Tables_number 12
loop_
_symmetry_equiv_pos_as_xyz
'x,y,z'
'-x,-y,-z'
'-x,y,-z'
'x,-y,z'
'x+1/2,y+1/2,z'
'-x+1/2,-y+1/2,-z'
'-x+1/2,y+1/2,-z'
'x+1/2,-y+1/2,z'
loop_
_atom_site_label
_atom_site_fract_x
_atom_site_fract_y
_atom_site_fract_z
_atom_site_occupancy
K1 0.000 0.000 0.000 1
K2 0.250 0.250 0.000 1
Np1 0.000 0.500 0.500 1
Np2 0.250 0.250 0.500 1
Te1 0.019 0.271 0.286 1
Te2 0.209 0.000 0.686 1
Te3 0.237 0.500 0.712 1
Au1 0.000 0.000 0.500 1
```